Structure and theoretical powder XRD pattern of Hf2Ga4Au (DFT lattice parameters and positions (PBE); a wavelength of 1.5418 Å).
Neutral-atom scattering factors, no anomalous dispersion.

Largest 10 diffraction maxima, by angle, 10° ≤ 2θ ≤ 80°:
Position (°2θ), I/Imax, h k l
29.44, 38, 2 0 -2
31.82, 85, 1 1 -1
34.54, 62, 3 1 -1
35.56, 54, 4 0 1
39.24, 39, 2 0 2
39.94, 67, 6 0 -2
41.29, 100, 3 1 1
41.62, 73, 5 1 -1
45.20, 35, 2 0 -3
53.74, 36, 3 1 -3

Cell and atoms:
abc: 14.9563 3.1741 6.0682
angles: 90.00 112.95 90.00
Space group C2/m (No. 12)
One atom of each set of equivalent atoms:
Hf: 0.2309 0.0000 0.2046 (multiplicity 4)
Ga: 0.0971 0.0000 0.7225 (multiplicity 4)
Ga: 0.1046 0.5000 0.3633 (multiplicity 4)
Au: 0.0000 0.0000 0.0000 (multiplicity 2)